Entry 1:
Theoretical powder XRD pattern
Compound: Nd4SmTm2Mg
Radiation: Cu Kα
Structure: a crystal structure in Alexandria, relaxed with PBE

Largest 10 diffraction maxima, low angle first, 2θ from 5° to 70°:
- 8.89°, I = 35
- 19.59°, I = 64
- 30.66°, I = 1000
- 35.28°, I = 346
- 36.11°, I = 160
- 50.75°, I = 123
- 51.37°, I = 235
- 60.47°, I = 290
- 61.57°, I = 134
- 63.85°, I = 122

Cell and atoms:
```
data_Nd4SmTm2Mg
_symmetry_space_group_name_H-M 'P 4/m m m'
_symmetry_Int_Tables_number 123
_symmetry_space_group_name_Hall '-P 4 2'
_cell_length_a 5.089
_cell_length_b 5.089
_cell_length_c 9.951
_cell_angle_alpha 90.00
_cell_angle_beta 90.00
_cell_angle_gamma 90.00
loop_
_atom_site_label
_atom_site_type_symbol
_atom_site_fract_x
_atom_site_fract_y
_atom_site_fract_z
_atom_site_occupancy
Nd1 Nd 0.000 0.500 0.244 1
Sm1 Sm 0.000 0.000 0.500 1
Tm1 Tm 0.000 0.000 0.000 1
Tm2 Tm 0.500 0.500 0.500 1
Mg1 Mg 0.500 0.500 0.000 1
```

---

Entry 2:
Theoretical powder XRD pattern
Compound: YZr2In2
Radiation: Cu Kα
Structure: a crystal structure in Alexandria, relaxed with PBE

Largest 10 diffraction maxima, low angle first, 2θ from 5° to 70°:
- 32.90°, I = 249
- 34.33°, I = 487
- 34.69°, I = 1000
- 39.33°, I = 134
- 42.69°, I = 94
- 46.94°, I = 94
- 50.41°, I = 121
- 62.42°, I = 164
- 62.85°, I = 131
- 66.17°, I = 123

Cell and atoms:
```
data_YZr2In2
_symmetry_space_group_name_H-M 'P 4/m b m'
_symmetry_Int_Tables_number 127
_symmetry_space_group_name_Hall '-P 4 2ab'
_cell_length_a 8.260
_cell_length_b 8.260
_cell_length_c 3.620
_cell_angle_alpha 90.00
_cell_angle_beta 90.00
_cell_angle_gamma 90.00
loop_
_atom_site_label
_atom_site_type_symbol
_atom_site_fract_x
_atom_site_fract_y
_atom_site_fract_z
_atom_site_occupancy
Y1 Y 0.000 0.000 0.000 1
Zr1 Zr 0.174 0.326 0.500 1
In1 In 0.126 0.626 0.000 1
```

---

Entry 3:
Theoretical powder XRD pattern
Compound: LiY2Au2
Radiation: Cu Kα
Structure: a crystal structure in Alexandria, relaxed with PBE

Largest 10 diffraction maxima, low angle first, 2θ from 5° to 70°:
- 15.82°, I = 397
- 25.14°, I = 142
- 34.55°, I = 1000
- 35.85°, I = 243
- 45.82°, I = 141
- 47.66°, I = 91
- 47.77°, I = 109
- 48.77°, I = 104
- 61.05°, I = 104
- 68.32°, I = 275

Cell and atoms:
```
data_LiY2Au2
_symmetry_space_group_name_H-M 'P 4/m b m'
_symmetry_Int_Tables_number 127
_symmetry_space_group_name_Hall '-P 4 2ab'
_cell_length_a 7.921
_cell_length_b 7.921
_cell_length_c 3.816
_cell_angle_alpha 90.00
_cell_angle_beta 90.00
_cell_angle_gamma 90.00
loop_
_atom_site_label
_atom_site_type_symbol
_atom_site_fract_x
_atom_site_fract_y
_atom_site_fract_z
_atom_site_occupancy
Li1 Li 0.000 0.000 0.000 1
Y1 Y 0.162 0.338 0.500 1
Au1 Au 0.137 0.637 0.000 1
```

---

Entry 4:
Theoretical powder XRD pattern
Compound: SrPaBiO6
Radiation: Cu Kα
Structure: a crystal structure in Alexandria, relaxed with PBE

Largest 10 diffraction maxima, low angle first, 2θ from 5° to 70°:
- 16.63°, I = 565
- 17.68°, I = 210
- 24.37°, I = 1000
- 30.88°, I = 652
- 35.27°, I = 491
- 39.72°, I = 270
- 46.30°, I = 618
- 51.13°, I = 272
- 54.88°, I = 318
- 64.29°, I = 164

Cell and atoms:
```
data_SrPaBiO6
_symmetry_space_group_name_H-M 'P -3 1 c'
_symmetry_Int_Tables_number 163
_symmetry_space_group_name_Hall '-P 3 2c'
_cell_length_a 5.7923
_cell_length_b 5.7923
_cell_length_c 10.6597
_cell_angle_alpha 90.00
_cell_angle_beta 90.00
_cell_angle_gamma 120.00
loop_
_atom_site_label
_atom_site_type_symbol
_atom_site_fract_x
_atom_site_fract_y
_atom_site_fract_z
_atom_site_occupancy
Sr1 Sr 0.0000 0.0000 0.0000 1
Pa1 Pa 0.3333 0.6667 0.2500 1
Bi1 Bi 0.3333 0.6667 0.7500 1
O1 O 0.0076 0.3679 0.6415 1
```

---

Entry 5:
Theoretical powder XRD pattern
Compound: Ta5Mo3
Radiation: Cu Kα
Structure: a crystal structure in Alexandria, relaxed with PBE

Largest 10 diffraction maxima, low angle first, 2θ from 5° to 70°:
- 9.70°, I = 19
- 24.09°, I = 26
- 27.94°, I = 37
- 31.16°, I = 48
- 38.73°, I = 260
- 39.20°, I = 1000
- 39.51°, I = 240
- 48.43°, I = 18
- 56.52°, I = 169
- 56.76°, I = 85

Cell and atoms:
```
data_Ta5Mo3
_symmetry_space_group_name_H-M 'I m m m'
_symmetry_Int_Tables_number 71
_symmetry_space_group_name_Hall '-I 2 2'
_cell_length_a 3.244
_cell_length_b 4.650
_cell_length_c 18.245
_cell_angle_alpha 90.00
_cell_angle_beta 90.00
_cell_angle_gamma 90.00
loop_
_atom_site_label
_atom_site_type_symbol
_atom_site_fract_x
_atom_site_fract_y
_atom_site_fract_z
_atom_site_occupancy
Ta1 Ta 0.000 0.000 0.000 1
Ta2 Ta 0.000 0.000 0.245 1
Ta3 Ta 0.000 0.500 0.122 1
Mo1 Mo 0.000 0.000 0.500 1
Mo2 Mo 0.000 0.500 0.375 1
```

---

Entry 6:
Theoretical powder XRD pattern
Compound: SmTm2Au4
Radiation: Cu Kα
Structure: a crystal structure in Alexandria, relaxed with PBE

Largest 10 diffraction maxima, low angle first, 2θ from 5° to 70°:
- 25.54°, I = 88
- 30.16°, I = 96
- 35.87°, I = 1000
- 36.00°, I = 273
- 36.85°, I = 215
- 50.77°, I = 93
- 52.47°, I = 158
- 63.81°, I = 85
- 64.64°, I = 183
- 65.74°, I = 123

Cell and atoms:
```
data_SmTm2Au4
_symmetry_space_group_name_H-M 'C m m m'
_symmetry_Int_Tables_number 65
_symmetry_space_group_name_Hall '-C 2 2'
_cell_length_a 7.193
_cell_length_b 9.757
_cell_length_c 4.989
_cell_angle_alpha 90.00
_cell_angle_beta 90.00
_cell_angle_gamma 90.00
loop_
_atom_site_label
_atom_site_type_symbol
_atom_site_fract_x
_atom_site_fract_y
_atom_site_fract_z
_atom_site_occupancy
Sm1 Sm 0.000 0.000 0.000 1
Tm1 Tm 0.000 0.283 0.500 1
Au1 Au 0.217 0.000 0.500 1
Au2 Au 0.250 0.250 0.000 1
```

---

Entry 7:
Theoretical powder XRD pattern
Compound: Pu3Ga2Sn3
Radiation: Cu Kα
Structure: a crystal structure in Alexandria, relaxed with PBE

Largest 10 diffraction maxima, low angle first, 2θ from 5° to 70°:
- 19.41°, I = 123
- 34.01°, I = 1000
- 39.02°, I = 171
- 39.41°, I = 169
- 39.99°, I = 163
- 56.67°, I = 118
- 57.40°, I = 115
- 67.50°, I = 139
- 68.03°, I = 140
- 68.82°, I = 135

Cell and atoms:
```
data_Pu3Ga2Sn3
_symmetry_space_group_name_H-M 'P m m m'
_symmetry_Int_Tables_number 47
_symmetry_space_group_name_Hall '-P 2 2'
_cell_length_a 4.509
_cell_length_b 4.573
_cell_length_c 9.233
_cell_angle_alpha 90.00
_cell_angle_beta 90.00
_cell_angle_gamma 90.00
loop_
_atom_site_label
_atom_site_type_symbol
_atom_site_fract_x
_atom_site_fract_y
_atom_site_fract_z
_atom_site_occupancy
Pu1 Pu 0.000 0.000 0.000 1
Pu2 Pu 0.500 0.000 0.257 1
Ga1 Ga 0.000 0.500 0.243 1
Sn1 Sn 0.000 0.000 0.500 1
Sn2 Sn 0.500 0.500 0.000 1
Sn3 Sn 0.500 0.500 0.500 1
```

---

Entry 8:
Theoretical powder XRD pattern
Compound: AcPr2CdN
Radiation: Cu Kα
Structure: a crystal structure in Alexandria, relaxed with PBE

Largest 10 diffraction maxima, low angle first, 2θ from 5° to 70°:
- 17.31°, I = 70
- 24.12°, I = 36
- 29.84°, I = 1000
- 33.72°, I = 199
- 35.02°, I = 359
- 49.40°, I = 270
- 50.37°, I = 127
- 57.93°, I = 156
- 59.65°, I = 285
- 61.99°, I = 136

Cell and atoms:
```
data_AcPr2CdN
_symmetry_space_group_name_H-M 'P 4/m m m'
_symmetry_Int_Tables_number 123
_symmetry_space_group_name_Hall '-P 4 2'
_cell_length_a 5.124
_cell_length_b 5.124
_cell_length_c 5.317
_cell_angle_alpha 90.00
_cell_angle_beta 90.00
_cell_angle_gamma 90.00
loop_
_atom_site_label
_atom_site_type_symbol
_atom_site_fract_x
_atom_site_fract_y
_atom_site_fract_z
_atom_site_occupancy
Ac1 Ac 0.000 0.000 0.000 1
Pr1 Pr 0.000 0.500 0.500 1
Cd1 Cd 0.500 0.500 0.000 1
N1 N 0.000 0.000 0.500 1
```